RbDyZnCl6: simulated powder diffraction line list (CuKα), based on DFT lattice parameters and positions (GGA-PBE).
Peak positions follow from Bragg's law for the DFT cell and can differ from measured ones.

The 10 most intense peaks (2θ = 10–90°), sorted by position:
hkl, 2θ/deg, I_rel
0 0 2, 12.08, 50
1 0 2, 19.44, 100
1 1 0, 26.44, 24
1 1 2, 29.16, 33
2 0 2, 33.03, 19
1 1 4, 36.21, 77
2 1 2, 42.79, 26
2 -1 6, 45.87, 14
3 0 0, 46.67, 25
4 -2 4, 60.45, 14

Structure:
a = 6.7425 Å, b = 6.7425 Å, c = 14.6584 Å
α = 90.00°, β = 90.00°, γ = 120.00°
Space group P-31c (No. 163)
One atom of each set of equivalent atoms:
Rb1 0.0000 0.0000 0.0000 (multiplicity 2)
Dy1 0.3333 0.6667 0.2500 (multiplicity 2)
Zn1 0.3333 0.6667 0.7500 (multiplicity 2)
Cl1 0.0167 0.3848 0.6494 (multiplicity 12)

DyS6Cl2: simulated powder diffraction line list (CuKα), based on DFT lattice parameters and positions (GGA-PBE).
Peak positions follow from Bragg's law for the DFT cell and can differ from measured ones.

The 10 most intense peaks (2θ = 10–90°), sorted by position:
hkl, 2θ/deg, I_rel
0 0 1, 10.57, 33
0 1 0, 11.98, 20
0 1 -1, 12.40, 100
0 1 1, 18.96, 32
0 1 -2, 19.74, 21
1 0 0, 21.89, 29
0 1 2, 28.43, 22
1 1 -2, 28.89, 23
1 -2 1, 31.15, 23
1 2 -3, 37.92, 25

Structure:
a = 4.0703 Å, b = 8.0656 Å, c = 9.1518 Å
α = 113.62°, β = 93.23°, γ = 90.59°
Space group P-1 (No. 2)
One atom of each set of equivalent atoms:
Dy1 0.0000 0.0000 0.0000 (multiplicity 1)
S1 0.1022 0.7217 0.4533 (multiplicity 2)
S2 0.1112 0.4952 0.7179 (multiplicity 2)
S3 0.1143 0.2815 0.2977 (multiplicity 2)
Cl1 0.4960 0.1492 0.9042 (multiplicity 2)

Dy2ScCl: simulated powder diffraction line list (CuKα), based on DFT lattice parameters and positions (GGA-PBE).
Peak positions follow from Bragg's law for the DFT cell and can differ from measured ones.

The 10 most intense peaks (2θ = 10–90°), sorted by position:
hkl, 2θ/deg, I_rel
0 0 6, 16.27, 70
0 0 9, 24.50, 47
1 0 1, 30.94, 96
0 1 2, 31.31, 45
1 0 4, 32.76, 32
0 1 5, 33.80, 100
1 0 10, 41.62, 92
0 1 11, 43.60, 44
1 1 0, 54.81, 41
1 1 6, 57.55, 23

Structure:
a = 3.3499 Å, b = 3.3499 Å, c = 32.6942 Å
α = 90.00°, β = 90.00°, γ = 120.00°
Space group R-3m (No. 166, hexagonal axes)
One atom of each set of equivalent atoms:
Dy1 0.0000 0.0000 0.0980 (multiplicity 6)
Sc1 0.0000 0.0000 0.0000 (multiplicity 3)
Cl1 0.0000 0.0000 0.5000 (multiplicity 3)

Dy3ZnSeCl: simulated powder diffraction line list (CuKα), based on DFT lattice parameters and positions (GGA-PBE).
Peak positions follow from Bragg's law for the DFT cell and can differ from measured ones.

The 10 most intense peaks (2θ = 10–90°), sorted by position:
hkl, 2θ/deg, I_rel
0 1 1, 24.63, 50
0 0 3, 25.52, 67
0 1 2, 28.77, 44
1 1 -2, 29.75, 72
2 0 2, 33.56, 85
2 1 -2, 35.60, 100
2 1 1, 36.80, 92
2 0 -4, 37.52, 56
0 1 4, 41.71, 50
0 2 0, 47.19, 46

Structure:
a = 7.3424 Å, b = 3.8517 Å, c = 10.7761 Å
α = 90.00°, β = 103.63°, γ = 90.00°
Space group P2_1/m (No. 11)
One atom of each set of equivalent atoms:
Dy1 0.0459 0.2500 0.1714 (multiplicity 2)
Dy2 0.2080 0.7500 0.4995 (multiplicity 2)
Dy3 0.4376 0.7500 0.8413 (multiplicity 2)
Zn1 0.1489 0.2500 0.6960 (multiplicity 2)
Se1 0.2629 0.7500 0.0585 (multiplicity 2)
Cl1 0.3831 0.2500 0.3702 (multiplicity 2)

SrDyTlCl6: simulated powder diffraction line list (CuKα), based on DFT lattice parameters and positions (GGA-PBE).
Peak positions follow from Bragg's law for the DFT cell and can differ from measured ones.

The 10 most intense peaks (2θ = 10–90°), sorted by position:
hkl, 2θ/deg, I_rel
1 0 2, 19.15, 100
1 1 0, 24.16, 33
1 1 2, 27.59, 13
2 0 2, 31.01, 28
1 1 4, 36.12, 57
2 1 2, 39.69, 32
3 0 0, 42.50, 24
4 -1 2, 53.53, 14
4 -2 4, 56.97, 14
4 1 4, 73.60, 13

Structure:
a = 7.3682 Å, b = 7.3682 Å, c = 13.4839 Å
α = 90.00°, β = 90.00°, γ = 120.00°
Space group P-31c (No. 163)
One atom of each set of equivalent atoms:
Sr1 0.3333 0.6667 0.2500 (multiplicity 2)
Dy1 0.3333 0.6667 0.7500 (multiplicity 2)
Tl1 0.0000 0.0000 0.0000 (multiplicity 2)
Cl1 0.0260 0.3815 0.6379 (multiplicity 12)

Dy2Tl3Cl9: simulated powder diffraction line list (CuKα), based on DFT lattice parameters and positions (GGA-PBE).
Peak positions follow from Bragg's law for the DFT cell and can differ from measured ones.

The 10 most intense peaks (2θ = 10–90°), sorted by position:
hkl, 2θ/deg, I_rel
0 1 2, 12.50, 24
1 1 3, 20.00, 85
3 0 0, 23.62, 100
0 2 4, 25.15, 26
2 1 4, 28.69, 20
2 2 3, 31.14, 90
1 1 6, 32.59, 34
3 2 4, 40.05, 23
2 2 6, 40.65, 39
6 0 0, 48.33, 22

Structure:
a = 13.0461 Å, b = 13.0461 Å, c = 18.1755 Å
α = 90.00°, β = 90.00°, γ = 120.00°
Space group R-3c (No. 167, hexagonal axes)
One atom of each set of equivalent atoms:
Dy1 0.0000 0.0000 0.1448 (multiplicity 12)
Tl1 0.0000 0.3012 0.2500 (multiplicity 18)
Cl1 0.0000 0.1520 0.7500 (multiplicity 18)
Cl2 0.0232 0.1896 0.4130 (multiplicity 36)

DyTlCl4: simulated powder diffraction line list (CuKα), based on DFT lattice parameters and positions (GGA-PBE).
Peak positions follow from Bragg's law for the DFT cell and can differ from measured ones.

The 10 most intense peaks (2θ = 10–90°), sorted by position:
hkl, 2θ/deg, I_rel
1 1 0, 12.55, 23
1 1 -1, 15.04, 100
1 3 0, 19.18, 49
1 1 1, 22.26, 35
0 4 1, 25.00, 23
1 5 0, 28.20, 19
0 0 2, 28.59, 43
2 4 -1, 29.91, 67
2 4 1, 38.16, 31
2 4 -3, 45.31, 20

Structure:
a = 8.4601 Å, b = 17.3465 Å, c = 6.8372 Å
α = 90.00°, β = 114.10°, γ = 90.00°
Space group C2/c (No. 15)
One atom of each set of equivalent atoms:
Dy1 0.0000 0.0675 0.2500 (multiplicity 4)
Tl1 0.0000 0.3179 0.2500 (multiplicity 4)
Cl1 0.1866 0.0471 0.6689 (multiplicity 8)
Cl2 0.2178 0.1712 0.2466 (multiplicity 8)

DyTmCl3: simulated powder diffraction line list (CuKα), based on DFT lattice parameters and positions (GGA-PBE).
Peak positions follow from Bragg's law for the DFT cell and can differ from measured ones.

The 10 most intense peaks (2θ = 10–90°), sorted by position:
hkl, 2θ/deg, I_rel
2 0 -1, 11.08, 100
4 0 0, 25.36, 19
1 1 1, 27.70, 58
1 1 -2, 29.39, 35
1 1 2, 33.82, 31
6 0 -1, 33.96, 27
4 0 -4, 34.07, 21
5 1 -2, 36.10, 25
5 1 -3, 38.34, 22
5 1 1, 45.51, 32

Structure:
a = 16.6517 Å, b = 3.7709 Å, c = 10.6017 Å
α = 90.00°, β = 122.41°, γ = 90.00°
Space group C2/m (No. 12)
One atom of each set of equivalent atoms:
Dy1 0.1383 0.0000 0.2887 (multiplicity 4)
Tm1 0.0773 0.5000 0.9551 (multiplicity 4)
Cl1 0.0366 0.0000 0.7447 (multiplicity 4)
Cl2 0.1655 0.5000 0.5080 (multiplicity 4)
Cl3 0.2143 0.0000 0.1153 (multiplicity 4)

Question: Number 4 is which compound?
Answer: Dy3ZnSeCl

Question: What is the formula in the seventh record?
Answer: DyTlCl4